For NpMnSb3, a PBE-relaxed structure gives the theoretical XRD peak list in this record (Cu Kα (weighted mean of Kα1 and Kα2)).

Structure:
Cell: 12.7158 6.2104 6.0069 Å, 90.00 90.00 90.00°
Space group Pbcm (No. 57)
One atom of each set of equivalent atoms:
Np 0.1901 0.0124 0.2500 (multiplicity 4)
Mn 0.4066 0.7500 0.0000 (multiplicity 4)
Sb 0.0032 0.7500 0.0000 (multiplicity 4)
Sb 0.2654 0.5138 0.2500 (multiplicity 4)
Sb 0.4331 0.1025 0.2500 (multiplicity 4)

Main lines, in order of rising 2θ (2θ from 10° to 80°):
(1 1 1), 2θ 21.74, rel. 41; (2 2 0), 2θ 32.08, rel. 75; (2 0 2), 2θ 32.98, rel. 52; (4 1 1), 2θ 35.05, rel. 100; (5 0 0), 2θ 35.29, rel. 28; (3 2 0), 2θ 35.85, rel. 34; (3 0 2), 2θ 36.67, rel. 38; (0 2 2), 2θ 41.84, rel. 69